Structure and theoretical PXRD pattern of Ba4B2N4O (a crystal structure in Alexandria, relaxed with PBE; λ = 1.5418 Å (Cu Kα)).

Top 10 peaks for 10 to 90 degrees two-theta, in order of rising 2θ:
hkl 2 0 0, 2θ 11.1, intensity 36.3
hkl 3 1 1, 2θ 23.9, intensity 100.0
hkl 2 0 2, 2θ 26.5, intensity 80.1
hkl 2 2 0, 2θ 26.6, intensity 79.4
hkl 3 1 2, 2θ 31.8, intensity 33.2
hkl 4 0 2, 2θ 33.0, intensity 59.3
hkl 6 0 0, 2θ 33.8, intensity 58.2
hkl 0 2 2, 2θ 34.3, intensity 72.0
hkl 6 2 2, 2θ 48.9, intensity 46.7
hkl 3 3 3, 2θ 55.5, intensity 37.0

Crystal structure
```
data_Ba4B2N4O
_space_group_name_H-M_alt 'C m c e'
_space_group_IT_number 64
_space_group_name_Hall '-C 2ac 2'
_cell_length_a 15.910
_cell_length_b 7.378
_cell_length_c 7.417
_cell_angle_alpha 90.00
_cell_angle_beta 90.00
_cell_angle_gamma 90.00
loop_
_atom_site_label
_atom_site_type_symbol
_atom_site_fract_x
_atom_site_fract_y
_atom_site_fract_z
Ba1 Ba 0.000 0.194 0.193
Ba2 Ba 0.174 0.000 0.500
B1 B 0.137 0.000 0.000
N1 N 0.134 0.129 0.872
O1 O 0.000 0.000 0.500
```

Structure and theoretical PXRD pattern of Pr5DyY12 (a crystal structure in Alexandria, relaxed with PBE; λ = 1.5418 Å (Cu Kα)).

Top 10 peaks for 10 to 90 degrees two-theta, in order of rising 2θ:
hkl 2 0 0, 2θ 11.6, intensity 5.5
hkl 1 3 1, 2θ 25.3, intensity 4.3
hkl 3 3 1, 2θ 30.3, intensity 100.0
hkl 6 0 0, 2θ 35.1, intensity 50.3
hkl 6 6 0, 2θ 50.6, intensity 35.2
hkl 9 3 1, 2θ 60.1, intensity 41.4
hkl 6 6 2, 2θ 63.1, intensity 11.9
hkl 9 9 1, 2θ 82.3, intensity 16.6
hkl 6 0 4, 2θ 84.9, intensity 10.3
hkl 12 6 0, 2θ 85.0, intensity 5.1

Crystal structure
```
data_Pr5DyY12
_space_group_name_H-M_alt 'C m m m'
_space_group_IT_number 65
_space_group_name_Hall '-C 2 2'
_cell_length_a 15.300
_cell_length_b 15.329
_cell_length_c 5.110
_cell_angle_alpha 90.00
_cell_angle_beta 90.00
_cell_angle_gamma 90.00
loop_
_atom_site_label
_atom_site_type_symbol
_atom_site_fract_x
_atom_site_fract_y
_atom_site_fract_z
Pr1 Pr 0.000 0.000 0.000
Pr2 Pr 0.000 0.167 0.500
Pr3 Pr 0.000 0.335 0.000
Dy1 Dy 0.000 0.500 0.500
Y1 Y 0.167 0.334 0.500
Y2 Y 0.167 0.500 0.000
Y3 Y 0.168 0.000 0.500
Y4 Y 0.168 0.167 0.000
```

Structure and theoretical PXRD pattern of Tl2CdIn2Sn2 (a crystal structure in Alexandria, relaxed with PBE; λ = 1.5418 Å (Cu Kα)).

Top 10 peaks for 10 to 90 degrees two-theta, in order of rising 2θ:
hkl 1 1 0, 2θ 22.1, intensity 24.8
hkl 2 0 -3, 2θ 29.9, intensity 18.9
hkl 3 1 -1, 2θ 31.0, intensity 27.6
hkl 3 1 -2, 2θ 33.0, intensity 96.1
hkl 1 1 2, 2θ 33.6, intensity 100.0
hkl 4 0 0, 2θ 34.4, intensity 42.1
hkl 2 0 -4, 2θ 39.9, intensity 17.9
hkl 0 2 0, 2θ 41.4, intensity 31.3
hkl 4 2 0, 2θ 54.8, intensity 23.7
hkl 5 1 2, 2θ 61.5, intensity 15.3

Crystal structure
```
data_Tl2CdIn2Sn2
_space_group_name_H-M_alt 'C 1 2/m 1'
_space_group_IT_number 12
_cell_length_a 11.512
_cell_length_b 4.365
_cell_length_c 9.035
_cell_angle_alpha 90.00
_cell_angle_beta 114.91
_cell_angle_gamma 90.00
loop_
_space_group_symop_operation_xyz
'x,y,z'
'-x,-y,-z'
'-x,y,-z'
'x,-y,z'
'x+1/2,y+1/2,z'
'-x+1/2,-y+1/2,-z'
'-x+1/2,y+1/2,-z'
'x+1/2,-y+1/2,z'
loop_
_atom_site_label
_atom_site_type_symbol
_atom_site_fract_x
_atom_site_fract_y
_atom_site_fract_z
Tl1 Tl 0.016 0.000 0.208
Cd1 Cd 0.000 0.500 0.500
In1 In 0.228 0.000 0.617
Sn1 Sn 0.228 0.500 0.871
```

Structure and theoretical PXRD pattern of Hg2P (a crystal structure in Alexandria, relaxed with PBE; λ = 1.5418 Å (Cu Kα)).

Top 10 peaks for 10 to 90 degrees two-theta, in order of rising 2θ:
hkl 2 0 0, 2θ 11.0, intensity 17.5
hkl 0 0 1, 2θ 15.6, intensity 60.8
hkl 0 0 2, 2θ 31.4, intensity 42.9
hkl 4 0 -2, 2θ 31.5, intensity 41.2
hkl 3 1 0, 2θ 32.5, intensity 100.0
hkl 6 0 0, 2θ 33.4, intensity 42.5
hkl 3 1 -1, 2θ 33.5, intensity 26.1
hkl 6 0 -2, 2θ 37.2, intensity 17.2
hkl 3 1 -2, 2θ 41.4, intensity 56.3
hkl 3 1 2, 2θ 50.1, intensity 17.9

Crystal structure
```
data_Hg2P
_space_group_name_H-M_alt 'C 1 m 1'
_space_group_IT_number 8
_cell_length_a 17.191
_cell_length_b 3.203
_cell_length_c 6.068
_cell_angle_alpha 90.00
_cell_angle_beta 110.35
_cell_angle_gamma 90.00
loop_
_space_group_symop_operation_xyz
'x,y,z'
'x,-y,z'
'x+1/2,y+1/2,z'
'x+1/2,-y+1/2,z'
loop_
_atom_site_label
_atom_site_type_symbol
_atom_site_fract_x
_atom_site_fract_y
_atom_site_fract_z
Hg1 Hg 0.000 0.000 0.000
Hg2 Hg 0.004 0.000 0.504
Hg3 Hg 0.167 0.500 0.411
Hg4 Hg 0.337 0.000 0.577
P1 P 0.207 0.500 0.953
P2 P 0.296 0.000 0.040
```